[1]
The following is a theoretical X-ray diffraction stick pattern of Sr6PtAu2N. It was derived from a crystal structure in Alexandria, relaxed with GGA-PBE, using Cu Kα (λ = 1.5418 Å).
Lines closer than 0.1° are merged.

Main lines, sorted by position (2θ = 15–90°):
23.25°, I = 64; 23.60°, I = 62; 26.81°, I = 56; 28.26°, I = 100; 29.86°, I = 45; 30.28°, I = 66; 33.20°, I = 53; 33.52°, I = 67; 33.67°, I = 50; 35.82°, I = 44; 36.77°, I = 45; 41.99°, I = 54

Cell and atoms:
```
Sr6PtAu2N
1.0
7.3089 0.0000 0.0000
0.0000 8.0061 0.0000
-7.0961 0.0000 10.6922
Sr Pt Au N
12 2 4 2
Cartesian
-0.8093 0.2538 2.4913
-4.3574 3.7492 7.8374
1.2262 5.6615 0.6210
-2.3219 6.3476 5.9671
2.1866 1.3946 0.5688
-1.3614 2.6084 5.9150
1.5742 5.3976 4.7773
-1.9739 6.6115 10.1234
2.5346 1.6584 4.7251
-1.0134 2.3446 10.0713
4.5701 4.2568 2.8548
1.0221 7.7522 8.2009
0.1064 0.0000 5.3461
3.6544 4.0030 0.0000
-3.2032 0.7547 8.0599
0.3448 3.2483 2.7137
-0.1320 4.7578 7.9785
3.4160 7.2513 2.6324
0.0000 0.0000 0.0000
-3.5480 4.0030 5.3461
```


[2]
The following is a theoretical X-ray diffraction stick pattern of Au2SN. It was derived from a crystal structure in Alexandria, relaxed with GGA-PBE, using Cu Kα (λ = 1.5418 Å).
Lines closer than 0.1° are merged.

Main lines, sorted by position (2θ = 15–90°):
15.07°, I = 68; 25.05°, I = 87; 28.64°, I = 37; 32.65°, I = 39; 34.54°, I = 100; 38.76°, I = 27; 38.86°, I = 26; 45.14°, I = 15; 46.72°, I = 20; 47.08°, I = 16; 47.21°, I = 16; 52.46°, I = 16

Cell and atoms:
```
Au2SN
1.0
3.4885 0.0000 0.0000
-1.7316 3.6830 0.0000
-0.0142 -2.0939 5.8806
Au S N
2 1 1
Cartesian
0.0000 0.0000 0.0000
-0.0015 0.5918 4.1060
1.7427 -0.2670 2.6419
1.7441 0.4832 1.2408
```


[3]
The following is a theoretical X-ray diffraction stick pattern of Sc3AuN. It was derived from a crystal structure in Alexandria, relaxed with GGA-PBE, using Cu Kα (λ = 1.5418 Å).
Lines closer than 0.1° are merged.

Main lines, sorted by position (2θ = 15–90°):
17.48°, I = 88; 19.46°, I = 38; 21.99°, I = 58; 26.67°, I = 67; 34.67°, I = 32; 35.61°, I = 100; 36.59°, I = 91; 38.66°, I = 44; 38.94°, I = 24; 40.00°, I = 46; 41.44°, I = 24; 56.84°, I = 27

Cell and atoms:
```
Sc3AuN
1.0
5.1187 -2.2541 0.0000
5.1187 2.2541 0.0000
-4.0528 0.0000 7.9573
Sc Au N
6 2 2
Cartesian
-0.4763 0.0000 1.4966
-0.5601 0.0000 7.5032
2.3398 0.0000 2.5478
3.8447 0.0000 5.4095
6.7446 0.0000 0.4541
6.6608 0.0000 6.4607
0.7925 0.0000 4.9321
5.3920 0.0000 3.0252
1.5029 0.0000 0.5214
4.6816 0.0000 7.4359
```


[4]
The following is a theoretical X-ray diffraction stick pattern of Si2AuN3. It was derived from a crystal structure in Alexandria, relaxed with GGA-PBE, using Cu Kα (λ = 1.5418 Å).
Lines closer than 0.1° are merged.

Main lines, sorted by position (2θ = 15–90°):
18.29°, I = 100; 18.47°, I = 44; 25.47°, I = 16; 32.17°, I = 54; 36.60°, I = 32; 36.89°, I = 20; 37.45°, I = 17; 40.32°, I = 67; 41.30°, I = 19; 48.71°, I = 24; 53.01°, I = 19; 60.09°, I = 17

Cell and atoms:
```
Si2AuN3
1.0
4.8034 -2.8098 0.0000
4.8034 2.8098 0.0000
0.0000 0.0000 5.0473
Si Au N
4 2 6
Cartesian
1.7040 0.8098 0.0000
1.7040 -0.8098 2.5237
7.9028 0.8098 0.0000
7.9028 -0.8098 2.5237
4.8034 0.3911 0.5369
4.8034 -0.3911 3.0605
2.1175 0.7240 1.7292
4.8034 1.7007 2.2208
2.1175 -0.7240 4.2528
7.4893 0.7240 1.7292
4.8034 -1.7007 4.7444
7.4893 -0.7240 4.2528
```


[5]
The following is a theoretical X-ray diffraction stick pattern of Sm3AuN. It was derived from a crystal structure in Alexandria, relaxed with GGA-PBE, using Cu Kα (λ = 1.5418 Å).
Lines closer than 0.1° are merged.

Main lines, sorted by position (2θ = 15–90°):
29.31°, I = 15; 31.80°, I = 100; 34.49°, I = 19; 36.00°, I = 26; 37.33°, I = 29; 47.07°, I = 8; 52.82°, I = 21; 57.13°, I = 6; 58.86°, I = 9; 62.10°, I = 15; 63.88°, I = 11; 72.72°, I = 7

Cell and atoms:
```
Sm3AuN
1.0
4.9899 0.0000 0.0000
0.0000 6.8138 0.0000
0.0000 0.0000 6.8144
Sm Au N
6 2 2
Cartesian
0.0000 0.4072 0.0000
0.0000 3.0000 2.5923
0.0000 3.8138 5.9995
0.0000 6.4066 3.4072
2.4950 1.7028 4.7033
2.4950 5.1111 1.2961
2.4950 1.7064 1.2935
2.4950 5.1074 4.7007
0.0000 1.7028 4.7032
0.0000 5.1111 1.2960
```


[6]
The following is a theoretical X-ray diffraction stick pattern of Sr5Au2N. It was derived from a crystal structure in Alexandria, relaxed with GGA-PBE, using Cu Kα (λ = 1.5418 Å).
Lines closer than 0.1° are merged.

Main lines, sorted by position (2θ = 15–90°):
17.33°, I = 31; 26.51°, I = 86; 31.24°, I = 55; 34.04°, I = 45; 34.28°, I = 100; 35.07°, I = 42; 36.57°, I = 23; 37.54°, I = 22; 41.14°, I = 21; 45.02°, I = 29; 49.68°, I = 31; 58.63°, I = 26

Cell and atoms:
```
Sr5Au2N
1.0
0.0000 6.8309 7.7249
2.6338 0.0000 7.7249
2.6338 6.8309 0.0000
Sr Au N
5 2 1
Cartesian
0.0000 0.0000 0.0000
2.6338 5.0606 5.7968
2.6338 5.0606 9.6530
2.6338 8.6013 5.7968
2.6338 8.6013 9.6530
2.6338 6.8309 3.1393
2.6338 6.8309 12.3104
2.6338 6.8309 7.7249
```


[7]
The following is a theoretical X-ray diffraction stick pattern of SrAuN2. It was derived from a crystal structure in Alexandria, relaxed with GGA-PBE, using Cu Kα (λ = 1.5418 Å).
Lines closer than 0.1° are merged.

Main lines, sorted by position (2θ = 15–90°):
25.34°, I = 23; 26.81°, I = 100; 30.16°, I = 20; 32.07°, I = 50; 43.72°, I = 34; 48.17°, I = 21; 52.04°, I = 16; 54.03°, I = 25; 55.25°, I = 11; 57.89°, I = 13; 70.26°, I = 13; 72.98°, I = 10

Cell and atoms:
```
SrAuN2
1.0
2.0702 1.1952 5.9271
-2.0702 1.1952 5.9271
0.0000 -2.3905 5.9271
Sr Au N
1 1 2
Cartesian
0.0000 0.0000 0.0000
0.0000 0.0000 8.8906
0.0000 0.0000 7.0254
0.0000 0.0000 10.7558
```


[8]
The following is a theoretical X-ray diffraction stick pattern of Sr12Au5N2. It was derived from a crystal structure in Alexandria, relaxed with GGA-PBE, using Cu Kα (λ = 1.5418 Å).
Lines closer than 0.1° are merged.

Main lines, sorted by position (2θ = 15–90°):
19.53°, I = 89; 21.08°, I = 82; 29.15°, I = 56; 31.04°, I = 43; 32.50°, I = 48; 32.99°, I = 100; 36.31°, I = 30; 39.72°, I = 32; 41.56°, I = 24; 45.12°, I = 26; 56.71°, I = 22; 63.24°, I = 30

Cell and atoms:
```
Sr12Au5N2
1.0
8.6348 -4.0188 0.0000
8.6348 4.0188 0.0000
-2.8575 0.0000 9.4746
Sr Au N
12 5 2
Cartesian
16.7389 0.0000 1.7469
-2.3268 0.0000 7.7276
3.2755 2.0638 8.6990
4.8340 2.0035 4.0569
9.5780 2.0035 5.4177
11.1366 2.0638 0.7755
8.0868 0.0000 1.6810
6.3252 0.0000 7.7936
3.2755 -2.0638 8.6990
4.8340 -2.0035 4.0569
9.5780 -2.0035 5.4177
11.1366 -2.0638 0.7755
0.8784 0.0000 7.9569
2.3370 0.0000 3.3288
7.2060 0.0000 4.7373
12.0750 0.0000 6.1458
13.5336 0.0000 1.5176
8.6348 1.9682 0.0000
8.6348 -1.9682 0.0000
```


[9]
The following is a theoretical X-ray diffraction stick pattern of TcAuN. It was derived from a crystal structure in Alexandria, relaxed with GGA-PBE, using Cu Kα (λ = 1.5418 Å).
Lines closer than 0.1° are merged.

Main lines, sorted by position (2θ = 15–90°):
32.89°, I = 100; 35.04°, I = 10; 35.87°, I = 39; 38.32°, I = 16; 41.30°, I = 28; 41.45°, I = 50; 42.10°, I = 19; 51.91°, I = 15; 56.59°, I = 17; 64.38°, I = 12; 64.71°, I = 14; 68.40°, I = 12

Cell and atoms:
```
TcAuN
1.0
2.7523 -1.7614 0.0000
2.7523 1.7614 0.0000
-1.5130 0.0000 8.7442
Tc Au N
2 2 2
Cartesian
-0.1159 0.0000 3.1659
4.1075 0.0000 5.5783
1.7712 0.0000 1.0457
2.2205 0.0000 7.6986
0.5124 0.0000 5.1634
3.4792 0.0000 3.5808
```


[10]
The following is a theoretical X-ray diffraction stick pattern of Ti3AuN. It was derived from a crystal structure in Alexandria, relaxed with GGA-PBE, using Cu Kα (λ = 1.5418 Å).
Lines closer than 0.1° are merged.

Main lines, sorted by position (2θ = 15–90°):
15.14°, I = 63; 21.96°, I = 30; 26.78°, I = 61; 33.24°, I = 25; 37.01°, I = 100; 37.94°, I = 93; 40.20°, I = 39; 42.93°, I = 76; 44.77°, I = 33; 63.76°, I = 44; 74.17°, I = 25; 75.92°, I = 24

Cell and atoms:
```
Ti3AuN
1.0
3.0360 0.0000 0.0000
0.0000 4.0484 0.0000
0.0000 0.0000 5.8527
Ti Au N
3 1 1
Cartesian
0.0000 0.0000 0.0000
1.5180 2.0242 1.4266
1.5180 2.0242 4.4261
0.0000 0.0000 2.9264
0.0000 2.0242 0.0000
```


[11]
The following is a theoretical X-ray diffraction stick pattern of V3AuN. It was derived from a crystal structure in Alexandria, relaxed with GGA-PBE, using Cu Kα (λ = 1.5418 Å).
Lines closer than 0.1° are merged.

Main lines, sorted by position (2θ = 15–90°):
16.00°, I = 52; 22.61°, I = 28; 27.82°, I = 59; 34.58°, I = 24; 38.26°, I = 100; 39.80°, I = 89; 41.72°, I = 34; 45.00°, I = 72; 46.16°, I = 33; 66.44°, I = 42; 77.50°, I = 24; 80.46°, I = 22

Cell and atoms:
```
V3AuN
1.0
2.9351 0.0000 0.0000
0.0000 3.9330 0.0000
0.0000 0.0000 5.5407
V Au N
3 1 1
Cartesian
0.0000 0.0000 0.0000
1.4676 1.9665 1.3157
1.4676 1.9665 4.2250
0.0000 0.0000 2.7703
0.0000 1.9665 0.0000
```


[12]
The following is a theoretical X-ray diffraction stick pattern of V3AuN. It was derived from a crystal structure in Alexandria, relaxed with GGA-PBE, using Cu Kα (λ = 1.5418 Å).
Lines closer than 0.1° are merged.

Main lines, sorted by position (2θ = 15–90°):
19.67°, I = 59; 29.69°, I = 30; 36.89°, I = 27; 37.08°, I = 61; 39.98°, I = 100; 40.20°, I = 87; 43.36°, I = 39; 43.54°, I = 71; 50.04°, I = 26; 65.36°, I = 26; 79.41°, I = 31; 79.80°, I = 26

Cell and atoms:
```
V3AuN
1.0
4.9549 0.0000 0.0000
0.0000 2.8407 0.0000
-1.6541 0.0000 9.0278
V Au N
6 2 2
Cartesian
0.0000 0.0000 0.0000
-0.6991 1.4203 6.7922
0.9961 1.4203 2.1771
2.4848 1.4203 0.0729
1.7947 0.0000 6.9097
3.3640 0.0000 2.2744
0.1232 0.0000 4.4892
2.5875 1.4203 4.5983
0.0559 0.0000 7.9338
4.1945 1.4203 1.1656
```


Q: Which formula does entry 10 have?
A: Ti3AuN